Diffraction record for Ce2Tl8Ag. The powder X-ray diffraction pattern is computed, not measured: it uses DFT lattice parameters and positions (GGA-PBE) and Cu Kα X-rays.
No peak broadening, texture or thermal motion is included.

Top 6 peaks for 10° ≤ 2θ ≤ 90°, low angle first:
hkl 1 1 2, 2θ 29.26, I 21
hkl 1 1 3, 2θ 33.36, I 100
hkl 2 0 0, 2θ 36.46, I 49
hkl 2 0 5, 2θ 51.80, I 17
hkl 2 2 0, 2θ 52.51, I 18
hkl 3 1 3, 2θ 63.65, I 32

Cell and atoms:
a = 4.9290 Å, b = 4.9290 Å, c = 12.6427 Å
α = 90.00°, β = 90.00°, γ = 90.00°
Space group P4/mmm (No. 123)
Inequivalent atoms, fractional coordinates:
Ce: 0.0000 0.0000 0.1886 [2 per cell]
Tl: 0.0000 0.5000 0.0000 [2 per cell]
Tl: 0.0000 0.5000 0.3680 [4 per cell]
Tl: 0.5000 0.5000 0.1853 [2 per cell]
Ag: 0.0000 0.0000 0.5000 [1 per cell]